Diffraction record for Na4MnAl3Si3O16. The X-ray diffraction stick pattern is computed, not measured: it uses DFT lattice parameters and positions (GGA+U) and Cu Kα X-rays.
Peak positions follow from Bragg's law for the DFT cell and can differ from measured ones.

The 12 most intense peaks (2θ = 5–70°), by angle:
- 23.6 deg, d 3.767, intensity 100, (1 1 -2)
- 23.7 deg, d 3.751, intensity 48, (2 1 -1)
- 33.7 deg, d 2.660, intensity 29, (2 2 2)
- 36.4 deg, d 2.468, intensity 9, (1 2 -3)
- 39.1 deg, d 2.303, intensity 6, (0 0 4)
- 39.3 deg, d 2.291, intensity 6, (4 0 0)
- 41.4 deg, d 2.180, intensity 11, (0 3 3)
- 41.6 deg, d 2.172, intensity 9, (3 3 0)
- 41.8 deg, d 2.163, intensity 8, (4 1 1)
- 46.2 deg, d 1.966, intensity 8, (2 3 -3)
- 54.5 deg, d 1.682, intensity 5, (1 2 -5)
- 56.3 deg, d 1.634, intensity 6, (0 4 4)

Lattice parameters (Å, degrees): 9.1629 9.2692 9.2139 90.00 90.02 90.00
Atoms (fractional coordinates):
Na 0.2232 0.0000 0.2235
Na 0.2269 0.5536 0.7722
Na 0.2714 0.0498 0.7280
Na 0.2750 0.5052 0.2767
Na 0.7250 0.5052 0.7233
Na 0.7286 0.0498 0.2720
Na 0.7731 0.5536 0.2278
Na 0.7768 0.0000 0.7765
Mn 0.0000 0.8088 0.0000
Mn 0.5000 0.2597 0.5000
Al 0.0005 0.2808 0.7493
Al 0.2493 0.7809 0.5008
Al 0.5000 0.0285 0.0000
Al 0.5000 0.5285 0.0000
Al 0.7507 0.7809 0.4992
Al 0.9995 0.2808 0.2507
Si 0.0000 0.0323 0.5000
Si 0.0000 0.5303 0.5000
Si 0.2503 0.2788 0.0013
Si 0.5000 0.7779 0.2488
Si 0.5000 0.7779 0.7512
Si 0.7497 0.2788 0.9987
O 0.0353 0.4361 0.3541
O 0.0389 0.1305 0.6416
O 0.0412 0.9106 0.8629
O 0.1385 0.7084 0.0409
O 0.1439 0.6277 0.5373
O 0.1451 0.9354 0.4628
O 0.1544 0.2419 0.1464
O 0.1540 0.3190 0.8569
O 0.3448 0.1335 0.9645
O 0.3475 0.4218 0.0392
O 0.3534 0.8151 0.6569
O 0.3548 0.3598 0.4948
O 0.3562 0.7424 0.3480
O 0.4609 0.9182 0.1496
O 0.4639 0.6311 0.8440
O 0.4966 0.1592 0.6431
O 0.5034 0.1592 0.3569
O 0.5361 0.6311 0.1560
O 0.5391 0.9182 0.8504
O 0.6438 0.7424 0.6520
O 0.6452 0.3598 0.5052
O 0.6466 0.8151 0.3431
O 0.6525 0.4218 0.9608
O 0.6552 0.1335 0.0355
O 0.8456 0.2419 0.8536
O 0.8460 0.3190 0.1431
O 0.8549 0.9354 0.5372
O 0.8561 0.6277 0.4627
O 0.8615 0.7084 0.9591
O 0.9588 0.9106 0.1371
O 0.9611 0.1305 0.3584
O 0.9647 0.4361 0.6459